For Tb3Sm4Ho2, a cell relaxed with PBE gives the simulated X-ray diffraction stick pattern in this record (Cu Kα X-rays).
Peak positions follow from Bragg's law for the DFT cell and can differ from measured ones.

Structure:
Cell lengths 6.199, 6.207, 9.464 Å; angles 108.97, 90.09, 119.95 degrees
Atoms (fractional coordinates):
Tb 0.000 0.000 0.000
Tb 0.444 0.555 0.334
Tb 0.556 0.445 0.666
Sm 0.111 0.889 0.334
Sm 0.334 0.667 0.000
Sm 0.666 0.333 0.000
Sm 0.889 0.111 0.666
Ho 0.222 0.777 0.666
Ho 0.778 0.223 0.334

Main lines, by angle (10° ≤ 2θ ≤ 90°):
hkl	Position (°2θ)	Rel. int.
1 1 0	30.57	1000
1 1 -3	35.42	338
2 -1 2	35.50	168
1 1 3	50.98	301
0 3 1	60.55	144
3 0 2	60.67	214
3 -3 4	60.73	71
0 0 6	63.67	93
1 1 6	83.11	89
3 0 5	85.88	69